The following is a theoretical XRD peak list of W5Au3. It was derived from a structure optimized by DFT (GGA-PBE), using Cu Ka.
No peak broadening, texture or thermal motion is included.

Cell lengths 10.3296, 10.3296, 5.0459 Å; angles 90.00, 90.00, 90.00 degrees
Space group I4/mcm (No. 140)
Asymmetric unit:
W: 0.0000 0.5000 0.2500 (multiplicity 4)
W: 0.0719 0.2399 0.0000 (multiplicity 16)
Au: 0.0000 0.0000 0.2500 (multiplicity 4)
Au: 0.1732 0.3268 0.5000 (multiplicity 8)

Peak list (8 most intense, 10 to 90 degrees two-theta, by angle)
Position (°2θ)	d_spacing	intensity	index
35.58	2.523	18	0 0 2
36.05	2.491	21	3 2 1
38.99	2.310	60	4 2 0
39.76	2.267	54	2 0 2
40.19	2.244	100	4 1 1
43.60	2.076	37	2 2 2
50.93	1.793	22	5 2 1
67.02	1.396	23	4 1 3

The following is a theoretical XRD peak list of W3Au5. It was derived from a structure optimized by DFT (GGA-PBE), using Cu Ka.
No peak broadening, texture or thermal motion is included.

Cell lengths 5.2621, 15.1741, 7.5101 Å; angles 90.00, 106.01, 90.00 degrees
Space group Cm (No. 8)
Asymmetric unit:
W: 0.0000 0.0000 0.0000 (multiplicity 2)
W: 0.0984 0.5000 0.7428 (multiplicity 2)
W: 0.3195 0.2487 0.6334 (multiplicity 4)
W: 0.4744 0.3054 0.3469 (multiplicity 4)
Au: 0.0155 0.3893 0.4364 (multiplicity 4)
Au: 0.0493 0.5000 0.1247 (multiplicity 2)
Au: 0.0530 0.0000 0.3661 (multiplicity 2)
Au: 0.0924 0.0912 0.7060 (multiplicity 4)
Au: 0.1899 0.3426 0.9268 (multiplicity 4)
Au: 0.2520 0.1730 0.0730 (multiplicity 4)

Peak list (8 most intense, 10 to 90 degrees two-theta, by angle)
Position (°2θ)	d_spacing	intensity	index
37.16	2.420	65	1 1 -3
37.49	2.399	66	2 2 0
37.69	2.387	89	0 6 1
38.40	2.344	74	1 5 1
38.75	2.324	82	1 3 2
39.28	2.294	71	2 2 -2
39.72	2.269	100	1 5 -2
41.87	2.158	61	2 4 -1